# 1
Th6Al3Ru: calculated powder diffractogram (Cu Kα (weighted mean of Kα1 and Kα2)), based on a PBE-relaxed structure.
No peak broadening, texture or thermal motion is included.

```
Th6Al3Ru
1.0
5.7634 3.3275 5.0474
-5.7634 3.3275 5.0474
0.0000 -6.6550 5.0474
Th Al Ru
12 6 2
Direct
0.1173 0.7783 0.7783 Th
0.1769 0.4812 0.4812 Th
0.2217 0.2217 0.8827 Th
0.2217 0.8827 0.2217 Th
0.4812 0.1769 0.4812 Th
0.4812 0.4812 0.1769 Th
0.5188 0.5188 0.8231 Th
0.5188 0.8231 0.5188 Th
0.7783 0.1173 0.7783 Th
0.7783 0.7783 0.1173 Th
0.8231 0.5188 0.5188 Th
0.8827 0.2217 0.2217 Th
0.1064 0.1064 0.5317 Al
0.1064 0.5317 0.1064 Al
0.4683 0.8936 0.8936 Al
0.5317 0.1064 0.1064 Al
0.8936 0.4683 0.8936 Al
0.8936 0.8936 0.4683 Al
0.0000 0.0000 0.0000 Ru
0.5000 0.5000 0.5000 Ru
```

Most intense lines, 10 to 90 degrees two-theta, in order of falling intensity:
2θ = 32.22°, rel. 100; 2θ = 25.16°, rel. 40; 2θ = 47.32°, rel. 35; 2θ = 32.89°, rel. 31; 2θ = 26.79°, rel. 28; 2θ = 24.31°, rel. 27; 2θ = 33.53°, rel. 19; 2θ = 18.72°, rel. 17; 2θ = 58.40°, rel. 16; 2θ = 40.36°, rel. 15


# 2
Nd2DyAl2Zn2: calculated powder diffractogram (Cu Kα (weighted mean of Kα1 and Kα2)), based on a PBE-relaxed structure.
No peak broadening, texture or thermal motion is included.

```
Nd2DyAl2Zn2
1.0
2.2651 1.3078 9.3734
-2.2651 1.3078 9.3734
0.0000 -2.6156 9.3734
Nd Dy Al Zn
2 1 2 2
Direct
0.1261 0.1261 0.1261 Nd
0.8739 0.8739 0.8739 Nd
0.0000 0.0000 0.0000 Dy
0.2697 0.2697 0.2697 Al
0.7303 0.7303 0.7303 Al
0.3921 0.3921 0.3921 Zn
0.6079 0.6079 0.6079 Zn
```

Most intense lines, 10 to 90 degrees two-theta, in order of falling intensity:
2θ = 34.25°, rel. 100; 2θ = 39.80°, rel. 84; 2θ = 31.88°, rel. 62; 2θ = 22.89°, rel. 51; 2θ = 64.52°, rel. 28; 2θ = 53.49°, rel. 28; 2θ = 26.01°, rel. 28; 2θ = 68.70°, rel. 26; 2θ = 72.22°, rel. 20; 2θ = 85.76°, rel. 17